No. 1
Starting from a DFT-relaxed cell (GGA-PBE, Alexandria), the X-ray powder pattern of LiCrAs2 was computed for Cu Kα X-rays.

Cell and atoms:
abc: 7.4499 3.1506 5.9082
angles: 90.00 103.68 90.00
Space group C2/m (No. 12)
Unique sites:
Li 0.0000 0.0000 0.0000 (multiplicity 2)
Cr 0.0000 0.5000 0.5000 (multiplicity 2)
As 0.2368 0.0000 0.7156 (multiplicity 4)

Most intense lines, 10° ≤ 2θ ≤ 90°, in order of falling intensity:
two_theta	d (Å)	Rel. int.	h k l
36.10	2.488	100	1 1 1
15.44	5.741	67	0 0 1
35.00	2.563	55	2 0 -2
47.11	1.929	49	3 1 -1
24.60	3.619	27	2 0 0
33.38	2.684	26	1 1 -1
55.00	1.669	24	1 1 -3
44.70	2.028	22	2 0 2

No. 2
Starting from a DFT-relaxed cell (GGA-PBE, Alexandria), the X-ray powder pattern of Li2CrSiAs was computed for Cu Kα X-rays.

Cell and atoms:
abc: 4.3952 4.3952 4.9984
angles: 90.00 90.00 90.00
Space group P4/mmm (No. 123)
Unique sites:
Li 0.0000 0.5000 0.0000 (multiplicity 2)
Cr 0.0000 0.0000 0.5000 (multiplicity 1)
Si 0.5000 0.5000 0.5000 (multiplicity 1)
As 0.5000 0.5000 0.0000 (multiplicity 1)

Most intense lines, 10° ≤ 2θ ≤ 90°, in order of falling intensity:
two_theta	d (Å)	Rel. int.	h k l
27.01	3.301	100	1 0 1
28.72	3.108	92	1 1 0
46.64	1.948	45	1 1 2
41.07	2.198	43	2 0 0
49.85	1.829	35	2 1 1
55.70	1.650	34	2 0 2
35.93	2.499	32	0 0 2
20.20	4.395	27	1 0 0